No. 1
Simulated powder X-ray diffraction pattern
Compound: Cr10Co4CuSe20
Radiation: Cu Ka
Structure: a crystal structure in the Materials Project, relaxed with PBE
Neutral-atom scattering factors, no anomalous dispersion.

Cell and atoms:
a b c (Å): 27.980 27.980 6.365
angles (deg): 95.10 95.10 7.51
Atoms (fractional coordinates):
Cr1 0.049 0.049 0.027
Cr2 0.152 0.152 0.173
Cr3 0.248 0.248 0.226
Cr4 0.352 0.352 0.374
Cr5 0.448 0.448 0.428
Cr6 0.552 0.552 0.572
Cr7 0.648 0.648 0.626
Cr8 0.752 0.752 0.774
Cr9 0.848 0.848 0.827
Cr10 0.951 0.951 0.973
Co1 0.100 0.100 0.101
Co2 0.300 0.300 0.300
Co3 0.700 0.700 0.700
Co4 0.900 0.900 0.899
Cu1 0.500 0.500 0.500
Se1 0.028 0.028 0.366
Se2 0.077 0.077 0.749
Se3 0.123 0.123 0.451
Se4 0.174 0.174 0.829
Se5 0.226 0.226 0.570
Se6 0.277 0.277 0.948
Se7 0.323 0.323 0.652
Se8 0.374 0.374 0.029
Se9 0.425 0.425 0.771
Se10 0.476 0.476 0.141
Se11 0.524 0.524 0.859
Se12 0.575 0.575 0.229
Se13 0.626 0.626 0.971
Se14 0.677 0.677 0.348
Se15 0.723 0.723 0.052
Se16 0.774 0.774 0.430
Se17 0.826 0.826 0.171
Se18 0.877 0.877 0.549
Se19 0.923 0.923 0.251
Se20 0.972 0.972 0.634

Top 10 peaks for 2θ from 15° to 90°, sorted by position:
d [Å]	2θ (°)	I_rel
2.792	32.06	29
2.772	32.29	100
2.743	32.65	48
2.732	32.78	52
2.120	42.64	23
2.105	42.97	42
2.079	43.53	52
1.836	49.67	65
1.832	49.78	34
1.521	60.90	20



No. 2
Simulated powder X-ray diffraction pattern
Compound: CrFeCoNi
Radiation: Cu Ka
Structure: a crystal structure in the Materials Project, relaxed with PBE
Neutral-atom scattering factors, no anomalous dispersion.

Cell and atoms:
a b c (Å): 4.370 4.013 5.040
angles (deg): 90.00 90.37 90.00
Atoms (fractional coordinates):
Cr1 0.000 0.000 0.000
Cr2 0.327 0.500 0.502
Fe1 0.491 0.000 0.250
Fe2 0.833 0.500 0.244
Co1 0.335 0.500 0.995
Co2 0.828 0.500 0.746
Ni1 0.499 0.000 0.752
Ni2 0.994 0.000 0.502

Top 10 peaks for 2θ from 15° to 90°, sorted by position:
d [Å]	2θ (°)	I_rel
2.187	41.28	24
2.177	41.48	13
2.006	45.19	38
1.920	47.33	100
1.914	47.52	48
1.478	62.86	13
1.265	75.11	7
1.260	75.44	7
1.141	85.00	16
1.140	85.14	8



No. 3
Simulated powder X-ray diffraction pattern
Compound: Mn4CrGa5Co10
Radiation: Cu Ka
Structure: a crystal structure in the Materials Project, relaxed with PBE
Neutral-atom scattering factors, no anomalous dispersion.

Cell and atoms:
a b c (Å): 16.675 16.675 16.675
angles (deg): 13.93 13.93 13.93
Atoms (fractional coordinates):
Mn1 0.100 0.100 0.100
Mn2 0.300 0.300 0.300
Mn3 0.700 0.700 0.700
Mn4 0.900 0.900 0.900
Cr1 0.500 0.500 0.500
Ga1 0.000 0.000 0.000
Ga2 0.200 0.200 0.200
Ga3 0.400 0.400 0.400
Ga4 0.600 0.600 0.600
Ga5 0.800 0.800 0.800
Co1 0.050 0.050 0.050
Co2 0.150 0.150 0.150
Co3 0.250 0.250 0.250
Co4 0.350 0.350 0.350
Co5 0.450 0.450 0.450
Co6 0.550 0.550 0.550
Co7 0.650 0.650 0.650
Co8 0.750 0.750 0.750
Co9 0.850 0.850 0.850
Co10 0.950 0.950 0.950

Top 5 peaks for 2θ from 15° to 90°, sorted by position:
d [Å]	2θ (°)	I_rel
3.302	27.00	1
2.022	44.82	100
1.724	53.11	1
1.430	65.26	15
1.167	82.66	29



No. 4
Simulated powder X-ray diffraction pattern
Compound: Cr12Ga2Co3S24
Radiation: Cu Ka
Structure: a crystal structure in the Materials Project, relaxed with PBE
Neutral-atom scattering factors, no anomalous dispersion.

Cell and atoms:
a b c (Å): 15.622 15.622 15.622
angles (deg): 154.09 154.09 36.97
Atoms (fractional coordinates):
Cr1 0.118 0.874 0.243
Cr2 0.126 0.369 0.243
Cr3 0.126 0.882 0.757
Cr4 0.291 0.541 0.750
Cr5 0.443 0.207 0.236
Cr6 0.459 0.210 0.750
Cr7 0.459 0.709 0.250
Cr8 0.631 0.874 0.757
Cr9 0.790 0.541 0.250
Cr10 0.793 0.029 0.236
Cr11 0.793 0.557 0.764
Cr12 0.971 0.207 0.764
Ga1 0.332 0.332 0.000
Ga2 0.668 0.668 0.000
Co1 0.000 0.000 0.000
Co2 0.582 0.082 0.500
Co3 0.918 0.418 0.500
S1 0.019 0.288 0.730
S2 0.029 0.795 0.234
S3 0.044 0.308 0.264
S4 0.044 0.780 0.736
S5 0.205 0.439 0.234
S6 0.205 0.971 0.766
S7 0.220 0.956 0.264
S8 0.226 0.461 0.765
S9 0.352 0.622 0.730
S10 0.364 0.127 0.238
S11 0.378 0.109 0.730
S12 0.378 0.648 0.270
S13 0.539 0.304 0.765
S14 0.539 0.774 0.235
S15 0.558 0.288 0.270
S16 0.561 0.795 0.766
S17 0.692 0.956 0.736
S18 0.696 0.461 0.235
S19 0.712 0.442 0.730
S20 0.712 0.981 0.270
S21 0.873 0.111 0.238
S22 0.873 0.636 0.762
S23 0.889 0.127 0.762
S24 0.891 0.622 0.270

Top 10 peaks for 2θ from 15° to 90°, sorted by position:
d [Å]	2θ (°)	I_rel
5.714	15.51	16
3.499	25.46	31
2.984	29.95	100
2.477	36.27	39
2.469	36.38	19
2.020	44.87	12
1.906	47.71	33
1.901	47.84	14
1.749	52.29	94
1.509	61.44	11



No. 5
Simulated powder X-ray diffraction pattern
Compound: CrCoGe
Radiation: Cu Ka
Structure: a crystal structure in the Materials Project, relaxed with PBE
Neutral-atom scattering factors, no anomalous dispersion.

Cell and atoms:
a b c (Å): 4.101 4.101 5.104
angles (deg): 90.00 90.00 120.00
Atoms (fractional coordinates):
Cr1 0.000 0.000 0.000
Cr2 0.000 0.000 0.500
Co1 0.333 0.667 0.250
Co2 0.667 0.333 0.750
Ge1 0.333 0.667 0.750
Ge2 0.667 0.333 0.250

Top 10 peaks for 2θ from 15° to 90°, sorted by position:
d [Å]	2θ (°)	I_rel
3.551	25.08	3
2.915	30.67	2
2.552	35.16	12
2.072	43.68	84
2.050	44.17	100
1.598	57.67	18
1.458	63.87	25
1.276	74.34	6
1.188	80.93	24
1.184	81.28	15